No. 1
Diffraction record for Ba2LiIn6Pd. The PXRD pattern is calculated, not measured: it uses a cell relaxed with PBE and Cu Ka.
Lines closer than 0.1° are merged.

Most intense lines, 2θ = 10–80°, by angle:
d 3.718, I 7, (2 0 0); d 3.170, I 6, (2 1 1); d 3.035, I 100, (2 0 2); d 2.629, I 81, (2 2 0); d 1.859, I 57, (4 0 0); d 1.586, I 28, (4 2 2); d 1.583, I 14, (2 0 6); d 1.518, I 19, (4 0 4); d 1.316, I 6, (4 4 0); d 1.206, I 11, (4 2 6)

Cell and atoms:
a = 7.442 Å, b = 7.442 Å, c = 10.496 Å
α = 90.00°, β = 90.00°, γ = 90.00°
Space group I4/mmm (No. 139)
One atom of each set of equivalent atoms:
Ba1 0.000 0.500 0.250 x4
Li1 0.000 0.000 0.000 x2
In1 0.000 0.000 0.244 x4
In2 0.244 0.244 0.000 x8
Pd1 0.000 0.000 0.500 x2

No. 2
Diffraction record for BaLiIn2Se4. The PXRD pattern is calculated, not measured: it uses a cell relaxed with PBE and Cu Ka.
Lines closer than 0.1° are merged.

Most intense lines, 2θ = 10–80°, by angle:
d 3.345, I 100, (1 1 2); d 3.045, I 31, (2 1 1); d 2.726, I 11, (1 0 3); d 2.565, I 43, (2 2 0); d 2.332, I 12, (3 0 1); d 2.035, I 44, (3 1 2); d 1.885, I 33, (2 0 4); d 1.813, I 11, (4 0 0); d 1.661, I 11, (3 2 3); d 1.307, I 13, (4 2 4)

Cell and atoms:
a = 7.254 Å, b = 7.254 Å, c = 8.823 Å
α = 90.00°, β = 90.00°, γ = 90.00°
Space group I-42m (No. 121)
One atom of each set of equivalent atoms:
Ba1 0.000 0.000 0.000 x2
Li1 0.000 0.000 0.500 x2
In1 0.000 0.500 0.250 x4
Se1 0.209 0.209 0.648 x8

No. 3
Diffraction record for Ba2LiTl6In. The PXRD pattern is calculated, not measured: it uses a cell relaxed with PBE and Cu Ka.
Lines closer than 0.1° are merged.

Most intense lines, 2θ = 10–80°, by angle:
d 5.539, I 22, (0 0 1); d 3.212, I 100, (2 2 0); d 3.184, I 98, (2 2 -2); d 2.777, I 48, (0 0 2); d 2.766, I 95, (0 4 0); d 1.960, I 34, (0 4 2); d 1.956, I 34, (4 4 -2); d 1.667, I 28, (2 6 -2); d 1.606, I 17, (4 4 0); d 1.237, I 21, (8 4 -4)

Cell and atoms:
a = 11.062 Å, b = 11.065 Å, c = 7.789 Å
α = 90.00°, β = 134.51°, γ = 90.00°
Space group C2/m (No. 12)
One atom of each set of equivalent atoms:
Ba1 0.000 0.250 0.000 x4
Li1 0.000 0.000 0.500 x2
Tl1 0.000 0.235 0.500 x4
Tl2 0.232 0.000 0.495 x4
Tl3 0.235 0.000 0.968 x4
In1 0.000 0.500 0.500 x2

No. 4
Diffraction record for BaLiTlIn. The PXRD pattern is calculated, not measured: it uses a cell relaxed with PBE and Cu Ka.
Lines closer than 0.1° are merged.

Most intense lines, 2θ = 10–80°, by angle:
d 4.518, I 41, (1 1 1); d 2.766, I 100, (2 2 0); d 2.359, I 24, (3 1 1); d 1.956, I 18, (4 0 0); d 1.795, I 11, (3 3 1); d 1.597, I 38, (4 2 2); d 1.506, I 8, (5 1 1); d 1.383, I 12, (4 4 0); d 1.323, I 8, (5 3 1); d 1.237, I 16, (6 2 0)

Cell and atoms:
a = 7.825 Å, b = 7.825 Å, c = 7.825 Å
α = 90.00°, β = 90.00°, γ = 90.00°
Space group F-43m (No. 216)
One atom of each set of equivalent atoms:
Ba1 0.000 0.000 0.000 x4
Li1 0.250 0.250 0.750 x4
Tl1 0.250 0.250 0.250 x4
In1 0.000 0.000 0.500 x4